1.
CePr2YAs4: theoretical X-ray powder pattern (Cu Kα X-rays), based on a DFT-relaxed cell (GGA-PBE, Alexandria).
Peak positions follow from Bragg's law for the DFT cell and can differ from measured ones.

Principal peaks in the range 2θ from 10° to 90°, in order of rising 2θ:
29.8 deg, rel. 100
42.7 deg, rel. 74
52.9 deg, rel. 20
61.9 deg, rel. 12
70.2 deg, rel. 22
78.2 deg, rel. 12

Atomic structure:
Cell lengths 7.330, 4.239, 7.347 Å; angles 90.00, 109.40, 90.00 degrees
Sites, in units of the cell vectors:
Ce 0.000 0.000 0.000
Pr 0.000 0.500 0.500
Pr 0.500 0.000 0.500
Y 0.500 0.500 0.000
As 0.248 0.500 0.240
As 0.254 0.000 0.761
As 0.746 0.000 0.239
As 0.752 0.500 0.760

2.
CeAs2Pt4: theoretical X-ray powder pattern (Cu Kα X-rays), based on a DFT-relaxed cell (GGA-PBE, Alexandria).
Peak positions follow from Bragg's law for the DFT cell and can differ from measured ones.

Principal peaks in the range 2θ from 10° to 90°, in order of rising 2θ:
15.9 deg, rel. 39
33.6 deg, rel. 81
36.1 deg, rel. 58
39.2 deg, rel. 100
42.5 deg, rel. 72
44.4 deg, rel. 40

Atomic structure:
Cell lengths 7.875, 7.875, 4.077 Å; angles 90.00, 90.00, 90.00 degrees
Sites, in units of the cell vectors:
Ce 0.000 0.000 0.000
Ce 0.500 0.500 0.500
As 0.213 0.213 0.500
As 0.287 0.713 0.000
As 0.713 0.287 0.000
As 0.787 0.787 0.500
Pt 0.097 0.655 0.500
Pt 0.155 0.403 0.000
Pt 0.345 0.903 0.500
Pt 0.403 0.155 0.000
Pt 0.597 0.845 0.000
Pt 0.655 0.097 0.500
Pt 0.845 0.597 0.000
Pt 0.903 0.345 0.500

3.
CeAs3PtRh2: theoretical X-ray powder pattern (Cu Kα X-rays), based on a DFT-relaxed cell (GGA-PBE, Alexandria).
Peak positions follow from Bragg's law for the DFT cell and can differ from measured ones.

Principal peaks in the range 2θ from 10° to 90°, in order of rising 2θ:
24.5 deg, rel. 94
28.1 deg, rel. 80
33.9 deg, rel. 90
44.5 deg, rel. 61
47.1 deg, rel. 100
50.1 deg, rel. 100

Atomic structure:
Cell lengths 7.749, 7.749, 7.749 Å; angles 56.03, 56.03, 56.03 degrees
Sites, in units of the cell vectors:
Ce 0.244 0.244 0.244
Ce 0.756 0.756 0.756
As 0.268 0.268 0.701
As 0.268 0.701 0.268
As 0.299 0.732 0.732
As 0.701 0.268 0.268
As 0.732 0.299 0.732
As 0.732 0.732 0.299
Pt 0.106 0.106 0.106
Pt 0.894 0.894 0.894
Rh 0.000 0.500 0.500
Rh 0.500 0.000 0.500
Rh 0.500 0.500 0.000
Rh 0.500 0.500 0.500

4.
Ce3PuAs4: theoretical X-ray powder pattern (Cu Kα X-rays), based on a DFT-relaxed cell (GGA-PBE, Alexandria).
Peak positions follow from Bragg's law for the DFT cell and can differ from measured ones.

Principal peaks in the range 2θ from 10° to 90°, in order of rising 2θ:
26.0 deg, rel. 24
30.1 deg, rel. 100
43.1 deg, rel. 75
53.5 deg, rel. 27
71.0 deg, rel. 28
79.0 deg, rel. 26

Atomic structure:
Cell lengths 7.271, 7.271, 4.202 Å; angles 90.00, 90.00, 109.52 degrees
Sites, in units of the cell vectors:
Ce 0.000 0.000 0.000
Ce 0.000 0.500 0.500
Ce 0.500 0.000 0.500
Pu 0.500 0.500 0.000
As 0.251 0.749 0.000
As 0.253 0.253 0.500
As 0.747 0.747 0.500
As 0.749 0.251 0.000

5.
Ce5PuAs6: theoretical X-ray powder pattern (Cu Kα X-rays), based on a DFT-relaxed cell (GGA-PBE, Alexandria).
Peak positions follow from Bragg's law for the DFT cell and can differ from measured ones.

Principal peaks in the range 2θ from 10° to 90°, in order of rising 2θ:
26.0 deg, rel. 16
30.1 deg, rel. 100
43.1 deg, rel. 75
53.4 deg, rel. 20
70.9 deg, rel. 34
79.0 deg, rel. 15

Atomic structure:
Cell lengths 7.277, 7.277, 7.271 Å; angles 99.60, 99.60, 119.94 degrees
Sites, in units of the cell vectors:
Ce 0.000 0.000 0.000
Ce 0.167 0.833 0.500
Ce 0.333 0.667 0.000
Ce 0.667 0.333 0.000
Ce 0.833 0.167 0.500
Pu 0.500 0.500 0.500
As 0.085 0.417 0.251
As 0.251 0.251 0.749
As 0.417 0.085 0.251
As 0.583 0.915 0.749
As 0.749 0.749 0.251
As 0.915 0.583 0.749

6.
Ce3SmPu2As6: theoretical X-ray powder pattern (Cu Kα X-rays), based on a DFT-relaxed cell (GGA-PBE, Alexandria).
Peak positions follow from Bragg's law for the DFT cell and can differ from measured ones.

Principal peaks in the range 2θ from 10° to 90°, in order of rising 2θ:
26.0 deg, rel. 21
30.2 deg, rel. 100
43.1 deg, rel. 38
43.2 deg, rel. 38
53.5 deg, rel. 20
79.1 deg, rel. 19

Atomic structure:
Cell lengths 7.270, 7.270, 7.245 Å; angles 99.63, 99.63, 120.00 degrees
Sites, in units of the cell vectors:
Ce 0.000 0.000 0.000
Ce 0.334 0.666 0.000
Ce 0.666 0.334 0.000
Sm 0.500 0.500 0.500
Pu 0.167 0.833 0.500
Pu 0.833 0.167 0.500
As 0.080 0.417 0.252
As 0.246 0.246 0.748
As 0.417 0.080 0.252
As 0.583 0.920 0.748
As 0.754 0.754 0.252
As 0.920 0.583 0.748